[1]
The following is a computed powder X-ray diffraction pattern of Li7Mg3Al. It was derived from the PBE geometry in Alexandria, using Cu Kα.

Atomic structure:
Cell lengths 2.9422, 20.3899, 14.4966 Å; angles 90.00, 90.00, 90.00 degrees
Space group Cmcm (No. 63)
Inequivalent atoms, fractional coordinates:
Li 0.0000 0.0050 0.0905 [8 per cell]
Li 0.0000 0.0962 0.7500 [4 per cell]
Li 0.0000 0.1291 0.1554 [8 per cell]
Li 0.0000 0.2433 0.0774 [8 per cell]
Mg 0.0000 0.2424 0.7500 [4 per cell]
Mg 0.0000 0.3789 0.0412 [8 per cell]
Al 0.0000 0.4735 0.7500 [4 per cell]

Top 10 peaks for 10° ≤ 2θ ≤ 90°, by intensity:
index	two_theta	d (Å)	I (rel.)
0 4 2	21.3	4.170	100
1 1 3	36.0	2.494	45
1 5 2	39.7	2.268	44
1 3 2	35.5	2.530	40
0 8 0	35.2	2.549	30
0 0 4	24.6	3.624	29
1 5 1	38.2	2.354	24
0 2 3	20.3	4.367	24
0 2 5	32.1	2.789	21
1 9 3	54.5	1.683	21


[2]
The following is a computed powder X-ray diffraction pattern of Mg7Au. It was derived from the PBE geometry in Alexandria, using Cu Kα.

Atomic structure:
Cell lengths 8.7965, 8.7965, 8.7965 Å; angles 90.00, 90.00, 90.00 degrees
Space group Fm-3m (No. 225)
Inequivalent atoms, fractional coordinates:
Mg 0.0000 0.0000 0.0000 [4 per cell]
Mg 0.0000 0.2500 0.2500 [24 per cell]
Au 0.0000 0.0000 0.5000 [4 per cell]

Top 10 peaks for 10° ≤ 2θ ≤ 90°, by intensity:
index	two_theta	d (Å)	I (rel.)
1 1 1	17.5	5.079	100
2 2 2	35.3	2.539	90
3 1 1	33.8	2.652	63
2 0 0	20.2	4.398	54
2 2 0	28.7	3.110	48
4 0 0	41.0	2.199	44
6 2 2	71.1	1.326	34
4 4 0	59.4	1.555	29
3 3 1	44.9	2.018	29
4 2 0	46.1	1.967	27